(1)
Computed powder diffractogram of MnTl2F11 for Cu Ka, from DFT lattice parameters and positions (PBE+U).

Unit cell a=7.8854 b=7.8854 c=9.6712 alpha=123.75 beta=123.75 gamma=64.52
Element x y z (fractional)
Mn (0.1548, 0.8452, 0.7500)
Mn (0.8452, 0.1548, 0.2500)
Tl (0.1141, 0.4123, 0.8026)
Tl (0.4123, 0.1141, 0.3026)
Tl (0.5877, 0.8859, 0.6974)
Tl (0.8859, 0.5877, 0.1974)
F (0.0000, 0.5000, 0.0000)
F (0.0861, 0.7706, 0.5074)
F (0.1096, 0.1199, 0.8075)
F (0.1199, 0.1096, 0.3075)
F (0.1621, 0.3523, 0.2291)
F (0.1832, 0.5705, 0.6948)
F (0.2294, 0.9139, 0.9926)
F (0.3523, 0.1621, 0.7291)
F (0.3987, 0.5329, 0.0471)
F (0.4295, 0.8168, 0.8052)
F (0.4671, 0.6013, 0.4529)
F (0.5000, 0.0000, 0.5000)
F (0.5329, 0.3987, 0.5471)
F (0.5705, 0.1832, 0.1948)
F (0.6013, 0.4671, 0.9529)
F (0.6477, 0.8379, 0.2709)
F (0.7706, 0.0861, 0.0074)
F (0.8168, 0.4295, 0.3052)
F (0.8379, 0.6477, 0.7709)
F (0.8801, 0.8904, 0.6925)
F (0.8904, 0.8801, 0.1925)
F (0.9139, 0.2294, 0.4926)

The 12 most intense peaks (5 to 70 degrees two-theta), most intense first:
Position (°2θ)  d (Å)  I/Imax
25.03  3.558  100
24.42  3.645  87
17.64  5.027  65
18.42  4.816  48
26.76  3.331  37
21.90  4.058  30
35.70  2.515  29
34.83  2.576  25
22.39  3.971  24
51.39  1.778  24
29.78  3.000  21
45.10  2.010  19

(2)
Computed powder diffractogram of MnTl2F4 for Cu Ka, from DFT lattice parameters and positions (PBE+U).

Unit cell a=6.8235 b=6.8235 c=3.4962 alpha=90.00 beta=90.00 gamma=102.72
Element x y z (fractional)
Mn (0.0000, 0.0000, 0.0000)
Tl (0.0000, 0.5000, 0.5000)
Tl (0.5000, 0.0000, 0.5000)
F (0.1611, 0.1611, 0.5000)
F (0.1984, 0.8016, 0.0000)
F (0.8016, 0.1984, 0.0000)
F (0.8389, 0.8389, 0.5000)

The 12 most intense peaks (5 to 70 degrees two-theta), most intense first:
Position (°2θ)  d (Å)  I/Imax
16.63  5.330  100
26.79  3.328  98
33.15  2.703  91
37.30  2.411  64
30.58  2.923  62
47.94  1.898  57
20.85  4.261  54
33.63  2.665  43
25.48  3.496  39
53.20  1.722  37
13.30  6.656  28
39.90  2.259  26

(3)
Computed powder diffractogram of Mn3Tl2F8 for Cu Ka, from DFT lattice parameters and positions (PBE+U).

Unit cell a=7.4414 b=7.4414 c=5.7330 alpha=107.47 beta=107.47 gamma=53.61
Element x y z (fractional)
Mn (0.0000, 0.0000, 0.0000)
Mn (0.2569, 0.7431, 0.5000)
Mn (0.7431, 0.2569, 0.5000)
Tl (0.2868, 0.2868, 0.8326)
Tl (0.7132, 0.7132, 0.1674)
F (0.0853, 0.0853, 0.4013)
F (0.1320, 0.6907, 0.1157)
F (0.3093, 0.8680, 0.8843)
F (0.4031, 0.4031, 0.5374)
F (0.5969, 0.5969, 0.4626)
F (0.6907, 0.1320, 0.1157)
F (0.8680, 0.3093, 0.8843)
F (0.9147, 0.9147, 0.5987)

The 12 most intense peaks (5 to 70 degrees two-theta), most intense first:
Position (°2θ)  d (Å)  I/Imax
25.84  3.448  100
25.15  3.541  89
24.02  3.705  80
20.43  4.346  80
30.22  2.957  57
31.37  2.851  42
55.38  1.659  41
45.18  2.007  39
38.81  2.320  36
46.78  1.942  34
26.56  3.356  28
49.36  1.846  27

(4)
Computed powder diffractogram of Mn6Tl3F20 for Cu Ka, from DFT lattice parameters and positions (PBE+U).

Unit cell a=7.9560 b=7.9560 c=7.9560 alpha=60.00 beta=60.00 gamma=60.00
Element x y z (fractional)
Mn (0.2265, 0.2265, 0.7735)
Mn (0.2265, 0.7735, 0.2265)
Mn (0.2265, 0.7735, 0.7735)
Mn (0.7735, 0.2265, 0.2265)
Mn (0.7735, 0.2265, 0.7735)
Mn (0.7735, 0.7735, 0.2265)
Tl (0.2500, 0.2500, 0.2500)
Tl (0.5000, 0.5000, 0.5000)
Tl (0.7500, 0.7500, 0.7500)
F (0.1143, 0.1143, 0.1143)
F (0.1143, 0.1143, 0.6570)
F (0.1143, 0.6570, 0.1143)
F (0.1822, 0.5000, 0.5000)
F (0.1822, 0.5000, 0.8178)
F (0.1822, 0.8178, 0.5000)
F (0.3430, 0.8857, 0.8857)
F (0.5000, 0.1822, 0.5000)
F (0.5000, 0.1822, 0.8178)
F (0.5000, 0.5000, 0.1822)
F (0.5000, 0.5000, 0.8178)
F (0.5000, 0.8178, 0.1822)
F (0.5000, 0.8178, 0.5000)
F (0.6570, 0.1143, 0.1143)
F (0.8178, 0.1822, 0.5000)
F (0.8178, 0.5000, 0.1822)
F (0.8178, 0.5000, 0.5000)
F (0.8857, 0.3430, 0.8857)
F (0.8857, 0.8857, 0.3430)
F (0.8857, 0.8857, 0.8857)

The 12 most intense peaks (5 to 70 degrees two-theta), most intense first:
Position (°2θ)  d (Å)  I/Imax
22.35  3.978  100
45.61  1.989  75
39.23  2.297  70
31.81  2.813  59
27.46  3.248  50
41.71  2.165  34
51.36  1.779  34
61.69  1.504  31
26.27  3.392  29
54.06  1.696  26
13.63  6.496  24
56.68  1.624  20